PmDyY2Sc4: computed PXRD pattern (Cu Kα (weighted mean of Kα1 and Kα2)), based on the PBE geometry in Alexandria.
Kinematic intensities with the Lorentz-polarization factor, no thermal factor.

Crystal structure
abc: 9.1099 9.1099 9.1099
angles: 137.85 103.10 91.83
Fractional positions:
Pm1 0.0000 0.0000 0.0000
Pm2 0.5000 0.0000 0.5000
Dy1 0.5000 0.0000 0.0000
Dy2 0.5000 0.5000 0.5000
Y1 0.0000 0.0000 0.5000
Y2 0.0000 0.5000 0.0000
Y3 0.0000 0.5000 0.5000
Y4 0.5000 0.5000 0.0000
Sc1 0.2508 0.2497 0.4989
Sc2 0.2508 0.7519 0.0011
Sc3 0.2516 0.2491 0.0025
Sc4 0.2534 0.7509 0.5025
Sc5 0.7466 0.2491 0.4975
Sc6 0.7484 0.7509 0.9975
Sc7 0.7492 0.2481 0.9989
Sc8 0.7492 0.7503 0.5011

Principal peaks in the range 2θ = 10–80°, by angle:
2θ = 10.47°, I 89
2θ = 21.03°, I 381
2θ = 28.16°, I 452
2θ = 30.72°, I 151
2θ = 31.56°, I 1000
2θ = 42.80°, I 846
2θ = 44.64°, I 112
2θ = 56.20°, I 185
2θ = 64.03°, I 245
2θ = 65.87°, I 76
2θ = 67.75°, I 206
2θ = 73.15°, I 164